This entry pairs a crystal structure of PrHgPd with its simulated powder diffraction line list. Radiation: Cu Kα. Structure: a structure optimized by DFT (GGA-PBE).
Peak positions follow from Bragg's law for the DFT cell and can differ from measured ones.

Lattice parameters (Å, degrees): 7.8710 7.8710 3.9811 90.00 90.00 120.00
Space group P-62m (No. 189)
Inequivalent atoms, fractional coordinates:
Pr 0.0000 0.6014 0.0000 x3
Hg 0.0000 0.2636 0.5000 x3
Pd 0.0000 0.0000 0.0000 x1
Pd 0.3333 0.6667 0.5000 x2

Peak list (10 most intense, 15° ≤ 2θ ≤ 90°, by angle)
hkl 1 1 1, d = 2.799 Å, 2θ 32.0, rel. 100; hkl 2 0 1, d = 2.589 Å, 2θ 34.6, rel. 60; hkl 2 1 0, d = 2.576 Å, 2θ 34.8, rel. 48; hkl 3 0 0, d = 2.272 Å, 2θ 39.7, rel. 38; hkl 2 1 1, d = 2.163 Å, 2θ 41.8, rel. 28; hkl 0 0 2, d = 1.991 Å, 2θ 45.6, rel. 21; hkl 2 1 2, d = 1.575 Å, 2θ 58.6, rel. 22; hkl 3 0 2, d = 1.497 Å, 2θ 62.0, rel. 20; hkl 3 2 1, d = 1.456 Å, 2θ 64.0, rel. 31; hkl 5 1 1, d = 1.170 Å, 2θ 82.4, rel. 10



This entry pairs a crystal structure of Hg3Pd8Se9 with its simulated powder diffraction line list. Radiation: Cu Kα. Structure: a structure optimized by DFT (GGA-PBE).
Peak positions follow from Bragg's law for the DFT cell and can differ from measured ones.

Lattice parameters (Å, degrees): 7.3818 17.0945 6.5739 90.00 90.00 90.00
Space group Pmmn (No. 59, origin choice 2)
Inequivalent atoms, fractional coordinates:
Hg 0.2500 0.0447 0.1207 x4
Hg 0.2500 0.7500 0.2938 x2
Pd 0.0117 0.1613 0.9631 x8
Pd 0.2500 0.1649 0.4010 x4
Pd 0.2500 0.5140 0.5338 x4
Se 0.0060 0.7500 0.7293 x4
Se 0.0153 0.0904 0.6167 x8
Se 0.2500 0.2500 0.8064 x2
Se 0.2500 0.5832 0.8941 x4

Peak list (10 most intense, 15° ≤ 2θ ≤ 90°, by angle)
hkl 1 0 1, d = 4.909 Å, 2θ 18.1, rel. 18; hkl 2 2 1, d = 3.012 Å, 2θ 29.7, rel. 23; hkl 0 3 2, d = 2.847 Å, 2θ 31.4, rel. 22; hkl 1 2 2, d = 2.833 Å, 2θ 31.6, rel. 33; hkl 2 3 1, d = 2.803 Å, 2θ 31.9, rel. 100; hkl 2 4 0, d = 2.793 Å, 2θ 32.0, rel. 24; hkl 0 5 2, d = 2.369 Å, 2θ 38.0, rel. 21; hkl 2 6 1, d = 2.133 Å, 2θ 42.4, rel. 50; hkl 2 1 3, d = 1.873 Å, 2θ 48.6, rel. 28; hkl 4 0 0, d = 1.845 Å, 2θ 49.4, rel. 31



This entry pairs a crystal structure of Pm3Hg with its simulated powder diffraction line list. Radiation: Cu Kα. Structure: a structure optimized by DFT (GGA-PBE).
Peak positions follow from Bragg's law for the DFT cell and can differ from measured ones.

Lattice parameters (Å, degrees): 7.0705 7.0705 5.5414 90.00 90.00 120.00
Space group P6_3/mmc (No. 194)
Inequivalent atoms, fractional coordinates:
Pm 0.1751 0.3502 0.2500 x6
Hg 0.3333 0.6667 0.7500 x2

Peak list (10 most intense, 15° ≤ 2θ ≤ 90°, by angle)
hkl 2 0 0, d = 3.062 Å, 2θ 29.2, rel. 24; hkl 0 0 2, d = 2.771 Å, 2θ 32.3, rel. 25; hkl 2 0 1, d = 2.680 Å, 2θ 33.4, rel. 100; hkl 2 0 2, d = 2.054 Å, 2θ 44.1, rel. 16; hkl 2 2 0, d = 1.768 Å, 2θ 51.7, rel. 19; hkl 2 0 3, d = 1.582 Å, 2θ 58.3, rel. 20; hkl 2 2 2, d = 1.490 Å, 2θ 62.3, rel. 22; hkl 4 0 1, d = 1.476 Å, 2θ 63.0, rel. 16; hkl 4 2 1, d = 1.133 Å, 2θ 85.8, rel. 13; hkl 2 2 4, d = 1.090 Å, 2θ 90.0, rel. 8



This entry pairs a crystal structure of Pm3Hg with its simulated powder diffraction line list. Radiation: Cu Kα. Structure: a structure optimized by DFT (GGA-PBE).
Peak positions follow from Bragg's law for the DFT cell and can differ from measured ones.

Lattice parameters (Å, degrees): 4.7890 4.7890 10.3133 90.00 90.00 90.00
Space group I4/mmm (No. 139)
Inequivalent atoms, fractional coordinates:
Pm 0.0000 0.0000 0.0000 x2
Pm 0.0000 0.5000 0.2500 x4
Hg 0.0000 0.0000 0.5000 x2

Peak list (10 most intense, 15° ≤ 2θ ≤ 90°, by angle)
hkl 1 1 2, d = 2.831 Å, 2θ 31.6, rel. 100; hkl 0 0 4, d = 2.578 Å, 2θ 34.8, rel. 19; hkl 2 0 0, d = 2.395 Å, 2θ 37.6, rel. 32; hkl 2 0 4, d = 1.755 Å, 2θ 52.1, rel. 25; hkl 2 2 0, d = 1.693 Å, 2θ 54.2, rel. 11; hkl 1 1 6, d = 1.533 Å, 2θ 60.4, rel. 16; hkl 3 1 2, d = 1.453 Å, 2θ 64.1, rel. 27; hkl 2 2 4, d = 1.415 Å, 2θ 66.0, rel. 12; hkl 3 1 6, d = 1.136 Å, 2θ 85.4, rel. 12; hkl 2 0 8, d = 1.135 Å, 2θ 85.6, rel. 6



This entry pairs a crystal structure of PmPrHg2 with its simulated powder diffraction line list. Radiation: Cu Kα. Structure: a structure optimized by DFT (GGA-PBE).
Peak positions follow from Bragg's law for the DFT cell and can differ from measured ones.

Lattice parameters (Å, degrees): 7.6777 7.6777 7.6777 90.00 90.00 90.00
Space group Fm-3m (No. 225)
Inequivalent atoms, fractional coordinates:
Pm 0.0000 0.0000 0.0000 x4
Pr 0.0000 0.0000 0.5000 x4
Hg 0.2500 0.2500 0.2500 x8

Peak list (10 most intense, 15° ≤ 2θ ≤ 90°, by angle)
hkl 2 0 0, d = 3.839 Å, 2θ 23.2, rel. 3; hkl 2 2 0, d = 2.714 Å, 2θ 33.0, rel. 100; hkl 2 2 2, d = 2.216 Å, 2θ 40.7, rel. 1; hkl 4 0 0, d = 1.919 Å, 2θ 47.4, rel. 18; hkl 4 2 0, d = 1.717 Å, 2θ 53.4, rel. 1; hkl 4 2 2, d = 1.567 Å, 2θ 58.9, rel. 39; hkl 4 4 0, d = 1.357 Å, 2θ 69.2, rel. 12; hkl 6 0 0, d = 1.280 Å, 2θ 74.1, rel. 1; hkl 6 2 0, d = 1.214 Å, 2θ 78.8, rel. 17; hkl 4 4 4, d = 1.108 Å, 2θ 88.2, rel. 4



This entry pairs a crystal structure of Pm2SnHg with its simulated powder diffraction line list. Radiation: Cu Kα. Structure: a structure optimized by DFT (GGA-PBE).
Peak positions follow from Bragg's law for the DFT cell and can differ from measured ones.

Lattice parameters (Å, degrees): 7.6652 7.6652 7.6652 90.00 90.00 90.00
Space group Fm-3m (No. 225)
Inequivalent atoms, fractional coordinates:
Pm 0.2500 0.2500 0.2500 x8
Sn 0.0000 0.0000 0.0000 x4
Hg 0.0000 0.0000 0.5000 x4

Peak list (10 most intense, 15° ≤ 2θ ≤ 90°, by angle)
hkl 1 1 1, d = 4.425 Å, 2θ 20.1, rel. 4; hkl 2 2 0, d = 2.710 Å, 2θ 33.1, rel. 100; hkl 3 1 1, d = 2.311 Å, 2θ 39.0, rel. 2; hkl 4 0 0, d = 1.916 Å, 2θ 47.4, rel. 18; hkl 3 3 1, d = 1.759 Å, 2θ 52.0, rel. 1; hkl 4 2 2, d = 1.565 Å, 2θ 59.0, rel. 39; hkl 5 1 1, d = 1.475 Å, 2θ 63.0, rel. 1; hkl 4 4 0, d = 1.355 Å, 2θ 69.4, rel. 12; hkl 6 2 0, d = 1.212 Å, 2θ 79.0, rel. 17; hkl 4 4 4, d = 1.106 Å, 2θ 88.3, rel. 4